Structure and theoretical powder X-ray diffraction pattern of Ac3Ni2Hg2 (a structure optimized by DFT (GGA-PBE); Cu Kα (weighted mean of Kα1 and Kα2)).

Structural model:
a b c (Å): 11.9214 4.1664 8.6647
angles (deg): 90.00 112.16 90.00
Space group C2/m (No. 12)
Symmetry-distinct sites (fractional):
Ac 0.0000 0.0000 0.0000 (multiplicity 2)
Ac 0.1871 0.0000 0.6817 (multiplicity 4)
Ni 0.1960 0.5000 0.9393 (multiplicity 4)
Hg 0.0368 0.5000 0.3326 (multiplicity 4)

The 12 most intense peaks (2θ = 10–90°), low angle first:
Position (°2θ)	d/Å	I_rel
26.72	3.336	100.0
29.75	3.003	86.5
30.00	2.978	55.1
31.17	2.870	45.5
32.45	2.759	32.7
33.50	2.675	68.5
33.83	2.649	66.1
37.35	2.408	47.1
43.44	2.083	43.4
44.83	2.022	23.4
55.95	1.644	32.6
58.56	1.576	28.4

=====

Structure and theoretical powder X-ray diffraction pattern of LaAu12 (a structure optimized by DFT (GGA-PBE); Cu Kα (weighted mean of Kα1 and Kα2)).

Structural model:
a b c (Å): 9.4889 9.4889 5.7592
angles (deg): 90.00 90.00 90.00
Space group I4/mmm (No. 139)
Symmetry-distinct sites (fractional):
La 0.0000 0.0000 0.0000 (multiplicity 2)
Au 0.0000 0.2159 0.5000 (multiplicity 8)
Au 0.0000 0.3456 0.0000 (multiplicity 8)
Au 0.2500 0.2500 0.2500 (multiplicity 8)

The 12 most intense peaks (2θ = 10–90°), low angle first:
Position (°2θ)	d/Å	I_rel
18.70	4.744	17.1
32.29	2.772	40.3
36.50	2.462	75.1
37.58	2.394	89.3
37.93	2.372	65.1
41.32	2.185	100.0
42.29	2.137	35.6
42.61	2.122	47.2
59.61	1.551	23.6
67.58	1.386	33.1
68.28	1.374	25.0
77.56	1.231	16.8

=====

Structure and theoretical powder X-ray diffraction pattern of Ca5Ac (a structure optimized by DFT (GGA-PBE); Cu Kα (weighted mean of Kα1 and Kα2)).

Structural model:
a b c (Å): 3.8920 3.8920 16.8171
angles (deg): 90.00 90.00 90.00
Space group P4/mmm (No. 123)
Symmetry-distinct sites (fractional):
Ca 0.0000 0.0000 0.0000 (multiplicity 1)
Ca 0.0000 0.0000 0.3310 (multiplicity 2)
Ca 0.5000 0.5000 0.1640 (multiplicity 2)
Ac 0.5000 0.5000 0.5000 (multiplicity 1)

The 12 most intense peaks (2θ = 10–90°), low angle first:
Position (°2θ)	d/Å	I_rel
10.52	8.409	35.6
15.81	5.606	15.0
22.85	3.892	13.2
23.46	3.792	24.7
25.21	3.532	22.0
27.91	3.197	100.0
31.93	2.803	17.4
32.54	2.752	33.3
46.23	1.964	24.2
54.48	1.684	18.4
55.26	1.662	28.0
74.51	1.274	13.5